For CaHgI4, a structure optimized by DFT (GGA-PBE) gives the calculated powder XRD pattern in this record (copper Kα).
No peak broadening, texture or thermal motion is included.

Crystal structure
Lattice parameters (Å, degrees): 7.621 4.421 7.727 90.00 94.74 90.00
Atoms (fractional coordinates):
1 Ca 0.000 0.000 0.000
2 Hg 0.000 0.500 0.500
3 I 0.230 0.000 0.675
4 I 0.238 0.500 0.186
5 I 0.762 0.500 0.814
6 I 0.770 0.000 0.325

Peak list (6 most intense, 2θ from 15° to 90°, by intensity)
26.5 deg, intensity 100; 25.1 deg, intensity 45; 40.6 deg, intensity 37; 41.9 deg, intensity 35; 33.9 deg, intensity 34; 31.7 deg, intensity 28